Record 1
InBi2O6: calculated XRD peak list (Cu Ka), based on a PBE-relaxed structure.
Neutral-atom scattering factors, no anomalous dispersion.

Atomic structure:
a b c (Å): 5.8568 5.8568 3.7139
angles (deg): 90.00 90.00 120.00
Space group P-3 (No. 147)
Symmetry-distinct sites (fractional):
1 In 0.0000 0.0000 0.0000
2 Bi 0.3333 0.6667 0.7349
3 O 0.0719 0.3759 0.2453

Most intense lines, 5 to 70 degrees two-theta, by intensity:
2theta, d_spacing, Rel. int.
29.8, 2.996, 100
30.5, 2.928, 86
43.2, 2.094, 50
53.8, 1.704, 47
54.3, 1.691, 25
52.5, 1.744, 18
63.5, 1.464, 12
17.5, 5.072, 12
61.9, 1.498, 11
58.9, 1.568, 8

Record 2
In2BiOsO8: calculated XRD peak list (Cu Ka), based on a PBE-relaxed structure.
Neutral-atom scattering factors, no anomalous dispersion.

Atomic structure:
a b c (Å): 6.890 6.997 6.719
angles (deg): 90.00 90.00 90.00
Space group Cmmm (No. 65)
Symmetry-distinct sites (fractional):
1 In 0.000 0.000 0.246
2 Bi 0.000 0.500 0.500
3 Os 0.000 0.500 0.000
4 O 0.000 0.315 0.214
5 O 0.185 0.000 0.500
6 O 0.220 0.000 0.000

Most intense lines, 5 to 70 degrees two-theta, by intensity:
2theta, d_spacing, Rel. int.
32.3, 2.773, 100
25.5, 3.499, 57
25.9, 3.445, 53
49.4, 1.846, 39
49.8, 1.830, 37
36.6, 2.455, 29
63.2, 1.471, 22
18.1, 4.910, 16
67.6, 1.386, 11
61.2, 1.514, 10

Record 3
InBiOsO6: calculated XRD peak list (Cu Ka), based on a PBE-relaxed structure.
Neutral-atom scattering factors, no anomalous dispersion.

Atomic structure:
a b c (Å): 5.4835 5.4835 9.5967
angles (deg): 90.00 90.00 120.00
Space group P-31c (No. 163)
Symmetry-distinct sites (fractional):
1 In 0.3333 0.6667 0.2500
2 Bi 0.0000 0.0000 0.0000
3 Os 0.3333 0.6667 0.7500
4 O 0.0329 0.3800 0.6362

Most intense lines, 5 to 70 degrees two-theta, by intensity:
2theta, d_spacing, Rel. int.
26.4, 3.375, 100
32.7, 2.742, 48
50.6, 1.806, 40
42.5, 2.128, 28
54.6, 1.681, 28
58.3, 1.583, 14
61.1, 1.516, 10
37.5, 2.399, 9
20.9, 4.256, 6
68.4, 1.371, 6

Record 4
In2BiPbO6: calculated XRD peak list (Cu Ka), based on a PBE-relaxed structure.
Neutral-atom scattering factors, no anomalous dispersion.

Atomic structure:
a b c (Å): 5.8633 5.8633 14.9406
angles (deg): 90.00 90.00 120.00
Space group R3 (No. 146, hexagonal axes)
Symmetry-distinct sites (fractional):
1 In 0.0000 0.0000 0.0000
2 In 0.0000 0.0000 0.4969
3 Bi 0.0000 0.0000 0.7172
4 Pb 0.0000 0.0000 0.2183
5 O 0.0282 0.6233 0.7680
6 O 0.0323 0.4055 0.2698

Most intense lines, 5 to 70 degrees two-theta, by intensity:
2theta, d_spacing, Rel. int.
29.7, 3.009, 100
30.5, 2.932, 100
43.1, 2.100, 43
53.7, 1.707, 43
21.2, 4.199, 30
47.9, 1.898, 28
54.2, 1.693, 27
52.2, 1.753, 15
63.5, 1.466, 14
65.1, 1.433, 10

Record 5
PmInBiO6: calculated XRD peak list (Cu Ka), based on a PBE-relaxed structure.
Neutral-atom scattering factors, no anomalous dispersion.

Atomic structure:
a b c (Å): 5.141 5.141 10.415
angles (deg): 90.00 90.00 90.00
Space group P4_2nm (No. 102)
Symmetry-distinct sites (fractional):
1 Pm 0.000 0.000 0.000
2 In 0.000 0.000 0.666
3 Bi 0.000 0.000 0.335
4 O 0.182 0.182 0.497
5 O 0.198 0.198 0.182
6 O 0.205 0.205 0.824

Most intense lines, 5 to 70 degrees two-theta, by intensity:
2theta, d_spacing, Rel. int.
24.5, 3.635, 100
31.1, 2.877, 89
47.4, 1.917, 71
34.9, 2.570, 27
60.2, 1.537, 21
59.0, 1.566, 18
56.6, 1.626, 17
50.2, 1.817, 17
64.8, 1.439, 10
19.3, 4.610, 9

Record 6
Ta4InBi3O16: calculated XRD peak list (Cu Ka), based on a PBE-relaxed structure.
Neutral-atom scattering factors, no anomalous dispersion.

Atomic structure:
a b c (Å): 5.509 7.758 7.766
angles (deg): 101.31 92.52 90.73
Space group P1 (No. 1)
Symmetry-distinct sites (fractional):
1 Ta 0.000 0.000 0.000
2 Ta 0.022 0.495 0.979
3 Ta 0.464 0.868 0.670
4 Ta 0.493 0.367 0.648
5 In 0.532 0.309 0.153
6 Bi 0.003 0.554 0.441
7 Bi 0.492 0.798 0.206
8 Bi 0.957 0.063 0.499
9 O 0.099 0.738 0.000
10 O 0.155 0.966 0.768
11 O 0.202 0.309 0.497
12 O 0.242 0.862 0.433
13 O 0.245 0.498 0.209
14 O 0.310 0.075 0.125
15 O 0.323 0.386 0.880
16 O 0.382 0.622 0.653
17 O 0.555 0.126 0.654
18 O 0.681 0.351 0.425
19 O 0.684 0.891 0.869
20 O 0.702 0.809 0.481
21 O 0.768 0.549 0.162
22 O 0.815 0.467 0.770
23 O 0.827 0.990 0.217
24 O 0.879 0.236 0.005

Most intense lines, 5 to 70 degrees two-theta, by intensity:
2theta, d_spacing, Rel. int.
27.9, 3.200, 100
28.2, 3.161, 94
29.2, 3.062, 89
28.8, 3.097, 89
32.5, 2.751, 64
23.4, 3.803, 48
29.1, 3.073, 41
36.6, 2.458, 36
29.8, 3.001, 35
50.9, 1.793, 30

What did the second record say?
In2BiOsO8: calculated XRD peak list (Cu Ka), based on a PBE-relaxed structure.
Neutral-atom scattering factors, no anomalous dispersion.

Atomic structure:
a b c (Å): 6.890 6.997 6.719
angles (deg): 90.00 90.00 90.00
Space group Cmmm (No. 65)
Symmetry-distinct sites (fractional):
1 In 0.000 0.000 0.246
2 Bi 0.000 0.500 0.500
3 Os 0.000 0.500 0.000
4 O 0.000 0.315 0.214
5 O 0.185 0.000 0.500
6 O 0.220 0.000 0.000

Most intense lines, 5 to 70 degrees two-theta, by intensity:
2theta, d_spacing, Rel. int.
32.3, 2.773, 100
25.5, 3.499, 57
25.9, 3.445, 53
49.4, 1.846, 39
49.8, 1.830, 37
36.6, 2.455, 29
63.2, 1.471, 22
18.1, 4.910, 16
67.6, 1.386, 11
61.2, 1.514, 10